# 1
For Cs2PtBrCl3, the PBE geometry in OQMD gives the computed powder X-ray diffraction pattern in this record (Cu Kα, 1.54184 Å).
Lines closer than 0.1° are merged.

Cell and atoms:
abc: 4.8252 7.5234 7.5234
angles: 92.61 90.00 90.00
Positions (direct):
1 Cs 0.0000 0.2402 0.7598
2 Cs 0.0000 0.7598 0.2402
3 Pt 0.5000 0.7481 0.7481
4 Br 0.5000 0.5114 0.5114
5 Cl 0.5000 0.5346 0.9628
6 Cl 0.5000 0.9628 0.5346
7 Cl 0.5000 0.9732 0.9732

Main lines, sorted by position (2θ = 5–70°):
2θ/deg, d/Å, Rel. int.
11.78, 7.516, 100
21.89, 4.060, 53
23.68, 3.758, 29
24.66, 3.610, 95
25.18, 3.536, 60
30.14, 2.965, 28
32.92, 2.721, 45
34.52, 2.599, 31
42.88, 2.109, 42
48.44, 1.879, 30

=====

# 2
For CsReBrCl3, the PBE geometry in OQMD gives the computed powder X-ray diffraction pattern in this record (Cu Kα, 1.54184 Å).
Lines closer than 0.1° are merged.

Cell and atoms:
abc: 10.8976 10.1297 10.1297
angles: 90.23 90.00 90.00
Positions (direct):
1 Cs 0.0000 0.0000 0.0000
2 Cs 0.2500 0.2098 0.5712
3 Cs 0.2500 0.7058 0.5156
4 Cs 0.5000 0.0000 0.0000
5 Cs 0.7500 0.5156 0.7058
6 Cs 0.7500 0.5712 0.2098
7 Re 0.1371 0.5558 0.9919
8 Re 0.2500 0.3693 0.0863
9 Re 0.3629 0.5558 0.9919
10 Re 0.6371 0.9919 0.5558
11 Re 0.7500 0.0863 0.3693
12 Re 0.8629 0.9919 0.5558
13 Br 0.0142 0.3626 0.0880
14 Br 0.2500 0.7538 0.8906
15 Br 0.4858 0.3626 0.0880
16 Br 0.5142 0.0880 0.3626
17 Br 0.7500 0.8906 0.7538
18 Br 0.9858 0.0880 0.3626
19 Cl 0.0732 0.9395 0.6674
20 Cl 0.1008 0.4759 0.7778
21 Cl 0.1022 0.6776 0.1837
22 Cl 0.2500 0.1357 0.1987
23 Cl 0.2500 0.2269 0.9046
24 Cl 0.2500 0.4315 0.3079
25 Cl 0.3978 0.6776 0.1837
26 Cl 0.3992 0.4759 0.7778
27 Cl 0.4268 0.9395 0.6674
28 Cl 0.5732 0.6674 0.9395
29 Cl 0.6008 0.7778 0.4759
30 Cl 0.6022 0.1837 0.6776
31 Cl 0.7500 0.1987 0.1357
32 Cl 0.7500 0.3079 0.4315
33 Cl 0.7500 0.9046 0.2269
34 Cl 0.8978 0.1837 0.6776
35 Cl 0.8992 0.7778 0.4759
36 Cl 0.9268 0.6674 0.9395

Main lines, sorted by position (2θ = 5–70°):
2θ/deg, d/Å, Rel. int.
11.93, 7.419, 100
12.37, 7.155, 73
17.51, 5.065, 31
19.33, 4.593, 19
21.26, 4.179, 44
31.56, 2.835, 16
31.91, 2.804, 16
36.57, 2.457, 13
38.54, 2.336, 28
43.60, 2.076, 18

=====

# 3
For CsW3Br3Cl4, the PBE geometry in OQMD gives the computed powder X-ray diffraction pattern in this record (Cu Kα, 1.54184 Å).
Lines closer than 0.1° are merged.

Cell and atoms:
abc: 10.1404 10.1404 15.2481
angles: 90.00 90.00 120.00
Positions (direct):
1 Cs 0.0000 0.0000 0.0000
2 Cs 0.0000 0.0000 0.5000
3 Cs 0.3333 0.6667 0.2731
4 Cs 0.6667 0.3333 0.7731
5 W 0.1791 0.6580 0.8430
6 W 0.1859 0.5135 0.7027
7 W 0.3276 0.8141 0.7027
8 W 0.3420 0.5212 0.8430
9 W 0.4788 0.8209 0.8430
10 W 0.4865 0.6724 0.7027
11 W 0.5135 0.1859 0.2027
12 W 0.5212 0.3420 0.3430
13 W 0.6580 0.1791 0.3430
14 W 0.6724 0.4865 0.2027
15 W 0.8141 0.3276 0.2027
16 W 0.8209 0.4788 0.3430
17 Br 0.0349 0.3329 0.1127
18 Br 0.0495 0.6833 0.4335
19 Br 0.2980 0.9651 0.1127
20 Br 0.3167 0.3662 0.4335
21 Br 0.3329 0.0349 0.6127
22 Br 0.3662 0.3167 0.9335
23 Br 0.6338 0.9505 0.4335
24 Br 0.6671 0.7020 0.1127
25 Br 0.6833 0.0495 0.9335
26 Br 0.7020 0.6671 0.6127
27 Br 0.9505 0.6338 0.9335
28 Br 0.9651 0.2980 0.6127
29 Cl 0.0433 0.6586 0.7037
30 Cl 0.0569 0.3708 0.8418
31 Cl 0.3139 0.9431 0.8418
32 Cl 0.3333 0.6667 0.5728
33 Cl 0.3333 0.6667 0.9736
34 Cl 0.3414 0.3847 0.7037
35 Cl 0.3708 0.0569 0.3418
36 Cl 0.3847 0.3414 0.2037
37 Cl 0.6153 0.9567 0.7037
38 Cl 0.6292 0.6861 0.8418
39 Cl 0.6586 0.0433 0.2037
40 Cl 0.6667 0.3333 0.0728
41 Cl 0.6667 0.3333 0.4736
42 Cl 0.6861 0.6292 0.3418
43 Cl 0.9431 0.3139 0.3418
44 Cl 0.9567 0.6153 0.2037

Main lines, sorted by position (2θ = 5–70°):
2θ/deg, d/Å, Rel. int.
10.07, 8.782, 30
11.62, 7.612, 100
15.39, 5.757, 30
21.04, 4.222, 17
29.32, 3.046, 10
32.21, 2.779, 10
37.39, 2.405, 19
41.09, 2.197, 11
42.82, 2.112, 35
48.61, 1.873, 15

=====

# 4
For CuBrCl, the PBE geometry in OQMD gives the computed powder X-ray diffraction pattern in this record (Cu Kα, 1.54184 Å).
Lines closer than 0.1° are merged.

Cell and atoms:
abc: 6.9705 3.4042 7.1867
angles: 90.00 117.41 90.00
Positions (direct):
1 Cu 0.0000 0.0000 0.0000
2 Cu 0.5000 0.5000 0.5000
3 Br 0.2390 0.5000 0.9896
4 Br 0.7610 0.5000 0.0104
5 Cl 0.2818 0.0000 0.5083
6 Cl 0.7182 0.0000 0.4917

Main lines, sorted by position (2θ = 5–70°):
2θ/deg, d/Å, Rel. int.
13.88, 6.380, 28
14.65, 6.045, 75
24.21, 3.676, 33
27.97, 3.190, 100
29.96, 2.983, 15
36.92, 2.435, 91
46.48, 1.954, 44
47.41, 1.918, 43
52.53, 1.742, 15
61.78, 1.502, 19

=====

# 5
For FeCuBr3Cl, the PBE geometry in OQMD gives the computed powder X-ray diffraction pattern in this record (Cu Kα, 1.54184 Å).
Lines closer than 0.1° are merged.

Cell and atoms:
abc: 5.8948 5.9408 6.6715
angles: 116.32 115.20 90.02
Positions (direct):
1 Fe 0.0000 0.0000 0.0000
2 Cu 0.2456 0.7561 0.5116
3 Br 0.3458 0.8823 0.2520
4 Br 0.6312 0.6533 0.7560
5 Br 0.8981 0.3686 0.2544
6 Cl 0.1153 0.0809 0.7554

Main lines, sorted by position (2θ = 5–70°):
2θ/deg, d/Å, Rel. int.
17.13, 5.175, 60
17.39, 5.099, 38
27.04, 3.298, 100
27.42, 3.252, 97
43.25, 2.092, 50
45.77, 1.982, 22
46.04, 1.972, 19
46.14, 1.967, 19
46.74, 1.943, 19
51.71, 1.768, 21

=====

# 6
For GaCuBrCl3, the PBE geometry in OQMD gives the computed powder X-ray diffraction pattern in this record (Cu Kα, 1.54184 Å).
Lines closer than 0.1° are merged.

Cell and atoms:
abc: 5.6155 5.6157 6.4746
angles: 64.34 65.27 89.96
Positions (direct):
1 Ga 0.0000 0.0000 0.0000
2 Cu 0.2351 0.7445 0.5102
3 Br 0.6299 0.6271 0.2542
4 Cl 0.1065 0.1000 0.2517
5 Cl 0.3416 0.8828 0.7587
6 Cl 0.8913 0.3567 0.7562

Main lines, sorted by position (2θ = 5–70°):
2θ/deg, d/Å, Rel. int.
17.98, 4.935, 70
18.13, 4.894, 61
28.15, 3.170, 100
28.53, 3.128, 93
36.71, 2.448, 22
45.70, 1.985, 46
47.33, 1.921, 21
47.82, 1.902, 41
48.32, 1.883, 19
58.03, 1.589, 17

=====

# 7
For KCu2IBrCl, the PBE geometry in OQMD gives the computed powder X-ray diffraction pattern in this record (Cu Kα, 1.54184 Å).
Lines closer than 0.1° are merged.

Cell and atoms:
abc: 7.2463 5.3461 9.2606
angles: 90.00 112.21 90.00
Positions (direct):
1 K 0.1546 0.2500 0.3944
2 K 0.8454 0.7500 0.6056
3 Cu 0.3884 0.5014 0.8535
4 Cu 0.3884 0.9986 0.8535
5 Cu 0.6116 0.0014 0.1465
6 Cu 0.6116 0.4986 0.1465
7 I 0.2690 0.7500 0.0515
8 I 0.7310 0.2500 0.9485
9 Br 0.4011 0.7500 0.6254
10 Br 0.5989 0.2500 0.3746
11 Cl 0.0978 0.2500 0.7165
12 Cl 0.9022 0.7500 0.2835

Main lines, sorted by position (2θ = 5–70°):
2θ/deg, d/Å, Rel. int.
10.32, 8.573, 100
13.20, 6.708, 99
13.33, 6.640, 84
21.27, 4.178, 65
25.82, 3.451, 73
26.03, 3.423, 72
26.65, 3.345, 79
31.49, 2.841, 47
32.12, 2.787, 44
43.46, 2.082, 75

=====

# 8
For KCu2IBrCl, the PBE geometry in OQMD gives the computed powder X-ray diffraction pattern in this record (Cu Kα, 1.54184 Å).
Lines closer than 0.1° are merged.

Cell and atoms:
abc: 7.3359 5.3298 9.1808
angles: 90.00 111.65 90.00
Positions (direct):
1 K 0.1925 0.2500 0.3984
2 K 0.8075 0.7500 0.6016
3 Cu 0.3958 0.5021 0.8520
4 Cu 0.3958 0.9979 0.8520
5 Cu 0.6042 0.0021 0.1480
6 Cu 0.6042 0.4979 0.1480
7 I 0.2712 0.7500 0.0529
8 I 0.7288 0.2500 0.9471
9 Br 0.0870 0.2500 0.7121
10 Br 0.9130 0.7500 0.2879
11 Cl 0.4052 0.7500 0.6370
12 Cl 0.5948 0.2500 0.3630

Main lines, sorted by position (2θ = 5–70°):
2θ/deg, d/Å, Rel. int.
10.37, 8.533, 100
13.30, 6.658, 91
25.68, 3.468, 87
26.17, 3.405, 56
29.22, 3.056, 40
31.14, 2.872, 30
31.68, 2.825, 33
41.91, 2.156, 35
43.50, 2.080, 37
46.71, 1.945, 29

=====

# 9
For InCuBrCl3, the PBE geometry in OQMD gives the computed powder X-ray diffraction pattern in this record (Cu Kα, 1.54184 Å).
Lines closer than 0.1° are merged.

Cell and atoms:
abc: 5.6570 5.6738 6.6055
angles: 65.58 64.74 89.72
Positions (direct):
1 In 0.0000 0.0000 0.0000
2 Cu 0.2505 0.7588 0.4938
3 Br 0.3955 0.3878 0.7387
4 Cl 0.1193 0.6279 0.2608
5 Cl 0.6131 0.1112 0.2620
6 Cl 0.8829 0.8745 0.7413

Main lines, sorted by position (2θ = 5–70°):
2θ/deg, d/Å, Rel. int.
17.76, 4.993, 80
17.89, 4.959, 71
27.58, 3.235, 57
27.75, 3.215, 56
28.10, 3.176, 100
36.52, 2.460, 23
45.16, 2.008, 33
45.41, 1.997, 31
46.26, 1.962, 24
47.00, 1.934, 23

=====

# 10
For ZrCuBr2Cl2, the PBE geometry in OQMD gives the computed powder X-ray diffraction pattern in this record (Cu Kα, 1.54184 Å).
Lines closer than 0.1° are merged.

Cell and atoms:
abc: 5.9278 5.9394 6.8136
angles: 114.88 114.94 90.34
Positions (direct):
1 Zr 0.0000 0.0000 0.0000
2 Cu 0.2333 0.7540 0.4999
3 Br 0.6017 0.6298 0.7368
4 Br 0.8754 0.3846 0.2622
5 Cl 0.1052 0.0917 0.7297
6 Cl 0.3445 0.8874 0.2709

Main lines, sorted by position (2θ = 5–70°):
2θ/deg, d/Å, Rel. int.
16.90, 5.245, 32
17.11, 5.183, 100
26.57, 3.354, 50
26.74, 3.334, 94
27.12, 3.289, 43
28.95, 3.084, 24
34.76, 2.581, 24
42.99, 2.104, 23
44.77, 2.024, 41
45.46, 1.995, 39

=====

# 11
For DyHBrCl, the PBE geometry in OQMD gives the computed powder X-ray diffraction pattern in this record (Cu Kα, 1.54184 Å).
Lines closer than 0.1° are merged.

Cell and atoms:
abc: 3.7829 3.7829 14.4813
angles: 90.00 90.00 120.00
Positions (direct):
1 Dy 0.0000 0.0000 0.0000
2 Dy 0.0000 0.0000 0.5000
3 H 0.3333 0.6667 0.4987
4 H 0.6667 0.3333 0.9987
5 Br 0.3333 0.6667 0.8666
6 Br 0.6667 0.3333 0.3666
7 Cl 0.3333 0.6667 0.1193
8 Cl 0.6667 0.3333 0.6193

Main lines, sorted by position (2θ = 5–70°):
2θ/deg, d/Å, Rel. int.
12.22, 7.241, 100
27.22, 3.276, 18
27.92, 3.195, 20
29.94, 2.985, 75
33.05, 2.711, 14
37.01, 2.429, 75
46.75, 1.943, 19
48.11, 1.891, 29
49.83, 1.830, 18
62.20, 1.492, 16

=====

# 12
For Dy2BrNCl2, the PBE geometry in OQMD gives the computed powder X-ray diffraction pattern in this record (Cu Kα, 1.54184 Å).
Lines closer than 0.1° are merged.

Cell and atoms:
abc: 8.5940 8.5940 10.9570
angles: 120.93 120.93 25.89
Positions (direct):
1 Dy 0.0815 0.0815 0.4557
2 Dy 0.3650 0.3650 0.2144
3 Dy 0.6350 0.6350 0.7856
4 Dy 0.9185 0.9185 0.5443
5 Br 0.1612 0.1612 0.0173
6 Br 0.8388 0.8388 0.9827
7 N 0.0751 0.0751 0.6544
8 N 0.9249 0.9249 0.3456
9 Cl 0.2857 0.2857 0.3911
10 Cl 0.4556 0.4556 0.7451
11 Cl 0.5444 0.5444 0.2549
12 Cl 0.7143 0.7143 0.6089

Main lines, sorted by position (2θ = 5–70°):
2θ/deg, d/Å, Rel. int.
9.50, 9.309, 18
10.97, 8.068, 100
25.03, 3.558, 21
27.03, 3.299, 41
28.59, 3.122, 40
32.84, 2.727, 29
33.06, 2.709, 25
33.72, 2.658, 28
35.62, 2.520, 22
44.60, 2.032, 19